No. 1
Starting from DFT lattice parameters and positions (GGA-PBE), the powder XRD pattern of Y5ErIn4 was calculated for Cu Kα (λ = 1.5418 Å).
Intensities are scaled so that the largest is 100.

Cell and atoms:
```
10
Lattice="3.592 0.000 0.000 0.000 3.592 0.000 0.000 0.000 21.513" Properties=species:S:1:pos:R:3 pbc="T T T"
Y 0.000 0.000 0.000
Y 0.000 0.000 4.168
Y 0.000 0.000 8.299
Y 0.000 0.000 13.214
Y 0.000 0.000 17.345
Er 1.796 1.796 10.756
In 1.796 1.796 2.082
In 1.796 1.796 6.242
In 1.796 1.796 15.271
In 1.796 1.796 19.431
```

Principal peaks in the range 15 to 90 degrees two-theta, most intense first:
d [Å], 2theta, I/Imax
2.757, 32.47, 100
2.540, 35.34, 44
1.505, 61.63, 31
1.642, 56.02, 17
1.796, 50.84, 15
2.151, 42.00, 10
1.379, 67.99, 9
1.153, 83.88, 7
1.136, 85.48, 7
1.332, 70.73, 6
1.094, 89.64, 5
1.270, 74.75, 5

No. 2
Starting from DFT lattice parameters and positions (GGA-PBE), the powder XRD pattern of Ce12InPt7 was calculated for Cu Kα (λ = 1.5418 Å).
Intensities are scaled so that the largest is 100.

Cell and atoms:
```
40
Lattice="-5.986 5.986 7.121 5.986 -5.986 7.121 5.986 5.986 -7.121" Properties=species:S:1:pos:R:3 pbc="T T T"
Ce 6.823 -3.479 5.080
Ce 2.507 -0.837 2.041
Ce 5.986 0.000 2.081
Ce 6.823 3.479 -2.041
Ce 3.895 2.092 0.000
Ce 9.466 0.837 2.041
Ce 3.479 5.150 -2.041
Ce 3.895 -2.092 7.121
Ce 0.837 2.507 2.041
Ce 5.986 0.000 5.039
Ce 2.507 0.837 5.080
Ce 6.823 3.479 2.041
Ce -0.837 2.507 5.080
Ce 3.479 5.150 2.041
Ce 0.000 5.986 2.081
Ce 5.150 3.479 5.080
Ce 2.092 8.078 0.000
Ce 2.507 0.837 9.162
Ce -3.479 5.150 5.080
Ce 2.092 3.895 7.121
Ce -0.837 2.507 9.162
Ce 0.000 5.986 5.039
Ce 3.479 6.823 5.080
Ce -0.837 9.466 2.041
In 0.000 0.000 0.000
In 0.000 0.000 7.121
Pt 8.077 -2.091 2.754
Pt 7.483 1.496 0.000
Pt 3.895 -2.091 4.366
Pt 0.000 0.000 3.560
Pt 3.895 2.091 2.754
Pt 1.496 4.490 0.000
Pt 8.077 2.091 4.366
Pt -2.091 3.895 2.754
Pt 4.490 1.496 7.121
Pt 2.091 3.895 4.366
Pt 0.000 0.000 10.681
Pt 2.091 8.077 2.754
Pt -1.496 4.490 7.121
Pt -2.091 8.077 4.366
```

Principal peaks in the range 15 to 90 degrees two-theta, most intense first:
d [Å], 2theta, I/Imax
2.594, 34.58, 100
2.845, 31.44, 75
2.722, 32.90, 67
2.477, 36.26, 60
2.677, 33.47, 42
2.822, 31.71, 41
2.374, 37.91, 25
1.817, 50.21, 25
1.379, 68.00, 19
2.515, 35.71, 18
2.033, 44.56, 18
1.693, 54.17, 16

No. 3
Starting from DFT lattice parameters and positions (GGA-PBE), the powder XRD pattern of Na2Tl4Sb was calculated for Cu Kα (λ = 1.5418 Å).
Intensities are scaled so that the largest is 100.

Cell and atoms:
```
14
Lattice="8.553 0.000 0.000 0.000 6.166 0.000 -3.711 0.000 8.017" Properties=species:S:1:pos:R:3 pbc="T T T"
Na -1.171 1.541 3.424
Na 1.632 4.624 0.003
Na 3.210 1.541 8.014
Na 6.013 4.624 4.593
Tl 1.387 1.541 1.385
Tl 0.330 0.019 6.348
Tl 0.330 3.064 6.348
Tl 1.791 4.624 3.505
Tl 3.052 1.541 4.512
Tl 4.512 3.102 1.669
Tl 4.512 6.147 1.669
Tl 3.455 4.624 6.632
Sb -2.724 1.541 6.195
Sb 7.566 4.624 1.822
```

Principal peaks in the range 15 to 90 degrees two-theta, most intense first:
d [Å], 2theta, I/Imax
2.840, 31.50, 100
2.499, 35.94, 45
2.767, 32.36, 41
2.177, 41.49, 36
2.719, 32.94, 35
4.008, 22.18, 30
2.650, 33.83, 29
1.754, 52.14, 25
2.672, 33.53, 24
4.716, 18.82, 24
2.934, 30.46, 22
3.030, 29.48, 22

No. 4
Starting from DFT lattice parameters and positions (GGA-PBE), the powder XRD pattern of CeIn8Pt6 was calculated for Cu Kα (λ = 1.5418 Å).
Intensities are scaled so that the largest is 100.

Cell and atoms:
```
15
Lattice="4.080 2.356 5.627 -4.080 2.356 5.627 0.000 -4.711 5.627" Properties=species:S:1:pos:R:3 pbc="T T T"
Ce 0.000 0.000 0.000
In -1.343 -2.374 7.595
In -2.727 -0.023 9.284
In 0.000 0.000 5.614
In -1.384 2.350 7.595
In 1.384 -2.350 9.284
In 0.000 0.000 11.266
In 2.727 0.023 7.595
In 1.343 2.374 9.284
Pt -2.690 -0.060 6.551
Pt -1.293 -2.360 10.328
Pt 1.397 -2.299 6.551
Pt -1.397 2.299 10.328
Pt 1.293 2.360 6.551
Pt 2.690 0.060 10.328
```

Principal peaks in the range 15 to 90 degrees two-theta, most intense first:
d [Å], 2theta, I/Imax
2.316, 38.88, 100
2.356, 38.21, 96
1.352, 69.51, 35
1.652, 55.65, 35
4.080, 21.78, 25
3.303, 26.99, 21
5.627, 15.75, 17
1.360, 69.06, 16
1.330, 70.86, 15
1.178, 81.77, 10
1.158, 83.47, 10
2.173, 41.56, 9

No. 5
Starting from DFT lattice parameters and positions (GGA-PBE), the powder XRD pattern of Cs2K4AgHg2 was calculated for Cu Kα (λ = 1.5418 Å).
Intensities are scaled so that the largest is 100.

Cell and atoms:
```
9
Lattice="7.005 0.000 0.000 3.434 7.805 0.000 2.535 -1.023 10.043" Properties=species:S:1:pos:R:3 pbc="T T T"
Cs 3.068 1.228 3.312
Cs 9.906 5.555 6.731
K 3.374 0.819 9.169
K 6.302 4.373 3.124
K 6.672 2.410 6.919
K 9.600 5.964 0.875
Ag 5.220 3.903 0.000
Hg 6.055 6.614 0.315
Hg 6.919 0.168 9.728
```

Principal peaks in the range 15 to 90 degrees two-theta, most intense first:
d [Å], 2theta, I/Imax
3.348, 26.63, 100
3.008, 29.70, 84
2.575, 34.84, 69
2.843, 31.47, 69
3.479, 25.60, 67
2.570, 34.91, 67
4.034, 22.03, 63
3.203, 27.85, 50
3.097, 28.83, 50
5.022, 17.66, 44
2.588, 34.65, 42
3.333, 26.74, 41

No. 6
Starting from DFT lattice parameters and positions (GGA-PBE), the powder XRD pattern of Ta3Mo5 was calculated for Cu Kα (λ = 1.5418 Å).
Intensities are scaled so that the largest is 100.

Cell and atoms:
```
16
Lattice="6.427 0.000 0.000 0.000 6.427 0.000 0.000 0.000 6.427" Properties=species:S:1:pos:R:3 pbc="T T T"
Ta 0.000 0.000 3.213
Ta 0.000 3.213 0.000
Ta 0.000 3.213 3.213
Ta 3.213 0.000 0.000
Ta 3.213 0.000 3.213
Ta 3.213 3.213 0.000
Mo 0.000 0.000 0.000
Mo 1.607 1.607 1.607
Mo 1.607 1.607 4.820
Mo 1.607 4.820 1.607
Mo 1.607 4.820 4.820
Mo 3.213 3.213 3.213
Mo 4.820 1.607 1.607
Mo 4.820 1.607 4.820
Mo 4.820 4.820 1.607
Mo 4.820 4.820 4.820
```

Principal peaks in the range 15 to 90 degrees two-theta, most intense first:
d [Å], 2theta, I/Imax
2.272, 39.67, 100
1.312, 71.98, 34
1.607, 57.35, 17
1.136, 85.46, 11
3.213, 27.76, 7
4.544, 19.53, 3
1.437, 64.89, 3
1.855, 49.11, 2
2.624, 34.17, 2
1.718, 53.34, 1
2.032, 44.58, 1
1.260, 75.42, 1

Q: Which formula does entry 2 have?
A: Ce12InPt7

Q: Number 4 is which compound?
A: CeIn8Pt6